This entry pairs a crystal structure of ScNi2SbO6 with its theoretical powder diffractogram. Radiation: Cu Kα (λ = 1.5418 Å). Structure: a DFT-relaxed cell (GGA+U, the Materials Project).
Lines closer than 0.1° are merged.

Most intense lines, 2θ = 15–90°, by angle:
d 4.314, rel. 33; d 3.817, rel. 48; d 2.792, rel. 100; d 2.614, rel. 95; d 2.288, rel. 27; d 1.908, rel. 40; d 1.753, rel. 67; d 1.541, rel. 36; d 1.509, rel. 37; d 1.353, rel. 16

Structure:
```
ScNi2SbO6
1.0
2.6144 1.5094 4.7277
-2.6144 1.5094 4.7277
0.0000 -3.0189 4.7277
Sc Ni Sb O
1 2 1 6
direct
0.0000 0.0000 0.0000
0.2904 0.2904 0.2904
0.7956 0.7956 0.7956
0.4929 0.4929 0.4929
0.1024 0.6953 0.3973
0.2118 0.5913 0.8785
0.3973 0.1024 0.6953
0.5913 0.8785 0.2118
0.6953 0.3973 0.1024
0.8785 0.2118 0.5913
```